Computed X-ray diffraction stick pattern
Compound: CuAg6
Radiation: copper Kα
Structure: a structure optimized by DFT (GGA-PBE)
Intensities are scaled so that the largest is 100.

Structural model:
```
data_CuAg6
_chemical_formula_sum 'Cu2 Ag12'
_space_group_name_H-M_alt 'C 1 2/m 1'
_space_group_IT_number 12
_cell_length_a 9.1445
_cell_length_b 4.0828
_cell_length_c 6.4773
_cell_angle_alpha 90.00
_cell_angle_beta 98.41
_cell_angle_gamma 90.00
loop_
_space_group_symop_operation_xyz
'x,y,z'
'-x,-y,-z'
'-x,y,-z'
'x,-y,z'
'x+1/2,y+1/2,z'
'-x+1/2,-y+1/2,-z'
'-x+1/2,y+1/2,-z'
'x+1/2,-y+1/2,z'
loop_
_atom_site_label
_atom_site_fract_x
_atom_site_fract_y
_atom_site_fract_z
Cu1 0.0000 0.0000 0.0000
Ag1 0.0695 0.5000 0.7209
Ag2 0.1417 0.0000 0.4231
Ag3 0.2131 0.5000 0.1382
```

Largest 10 diffraction maxima, sorted by position, 10 to 80 degrees two-theta:
hkl 1 1 1, 2θ = 28.45°, I 1; hkl 3 1 -1, 2θ = 38.12°, I 100; hkl 2 0 -3, 2θ = 44.17°, I 16; hkl 0 2 0, 2θ = 44.38°, I 32; hkl 6 0 -2, 2θ = 64.37°, I 15; hkl 4 2 1, 2θ = 64.54°, I 15; hkl 5 1 -4, 2θ = 77.16°, I 6; hkl 1 1 -5, 2θ = 77.27°, I 6; hkl 7 1 0, 2θ = 77.50°, I 17; hkl 5 1 3, 2θ = 77.58°, I 6